For Ca2TbMn3O9, a crystal structure in the Materials Project, relaxed with PBE+U gives the theoretical powder X-ray diffraction pattern in this record (copper Kα).
Peak positions follow from Bragg's law for the DFT cell and can differ from measured ones.

Peak list (10 most intense, 15 to 90 degrees two-theta, by angle)
15.86°, I = 291, hkl 2 1 0; 20.95°, I = 224, hkl 1 1 1; 32.86°, I = 227, hkl 6 0 0; 33.13°, I = 1000, hkl 3 2 1; 33.42°, I = 244, hkl 0 0 2; 47.56°, I = 470, hkl 0 4 0; 58.84°, I = 126, hkl 9 2 1; 59.56°, I = 232, hkl 3 2 3; 69.54°, I = 143, hkl 6 4 2; 79.22°, I = 130, hkl 3 6 1

Cell and atoms:
Cell lengths 16.356, 7.649, 5.362 Å; angles 90.00, 90.00, 90.00 degrees
Atoms (fractional coordinates):
Ca 0.015 0.250 0.009
Ca 0.181 0.250 0.491
Ca 0.319 0.750 0.991
Ca 0.485 0.750 0.509
Ca 0.515 0.250 0.491
Ca 0.681 0.250 0.009
Ca 0.819 0.750 0.509
Ca 0.985 0.750 0.991
Tb 0.150 0.750 0.510
Tb 0.350 0.250 0.010
Tb 0.650 0.750 0.990
Tb 0.850 0.250 0.490
Mn 0.000 0.000 0.500
Mn 0.000 0.500 0.500
Mn 0.167 0.001 0.001
Mn 0.167 0.499 0.001
Mn 0.333 0.501 0.501
Mn 0.333 0.999 0.501
Mn 0.500 0.000 0.000
Mn 0.500 0.500 0.000
Mn 0.667 0.001 0.499
Mn 0.667 0.499 0.499
Mn 0.833 0.501 0.999
Mn 0.833 0.999 0.999
O 0.009 0.750 0.421
O 0.071 0.548 0.788
O 0.071 0.952 0.788
O 0.099 0.037 0.297
O 0.099 0.463 0.297
O 0.161 0.250 0.922
O 0.173 0.750 0.088
O 0.235 0.546 0.703
O 0.235 0.954 0.703
O 0.265 0.046 0.203
O 0.265 0.454 0.203
O 0.327 0.250 0.588
O 0.339 0.750 0.422
O 0.401 0.537 0.797
O 0.401 0.963 0.797
O 0.429 0.048 0.288
O 0.429 0.452 0.288
O 0.491 0.250 0.921
O 0.509 0.750 0.079
O 0.571 0.548 0.712
O 0.571 0.952 0.712
O 0.599 0.037 0.203
O 0.599 0.463 0.203
O 0.661 0.250 0.578
O 0.673 0.750 0.412
O 0.735 0.546 0.797
O 0.735 0.954 0.797
O 0.765 0.046 0.297
O 0.765 0.454 0.297
O 0.827 0.250 0.912
O 0.839 0.750 0.078
O 0.901 0.537 0.703
O 0.901 0.963 0.703
O 0.929 0.048 0.212
O 0.929 0.452 0.212
O 0.991 0.250 0.579

---

For CaTb3Mn4O12, a crystal structure in the Materials Project, relaxed with PBE+U gives the theoretical powder X-ray diffraction pattern in this record (copper Kα).
Peak positions follow from Bragg's law for the DFT cell and can differ from measured ones.

Peak list (10 most intense, 15 to 90 degrees two-theta, by angle)
25.63°, I = 285, hkl 1 1 -1; 25.83°, I = 227, hkl 1 1 1; 31.65°, I = 396, hkl 0 0 2; 32.84°, I = 981, hkl 1 2 -1; 33.00°, I = 1000, hkl 1 2 1; 33.49°, I = 478, hkl 2 0 0; 33.82°, I = 258, hkl 0 1 2; 47.75°, I = 295, hkl 0 4 0; 48.14°, I = 306, hkl 0 3 2; 59.62°, I = 456, hkl 3 2 1

Cell and atoms:
Cell lengths 5.351, 7.619, 5.654 Å; angles 90.00, 90.55, 90.00 degrees
Atoms (fractional coordinates):
Ca 0.000 0.000 0.000
Tb 0.032 0.500 0.128
Tb 0.499 0.500 0.627
Tb 0.532 0.000 0.493
Mn 0.013 0.248 0.562
Mn 0.013 0.752 0.562
Mn 0.517 0.248 0.060
Mn 0.517 0.752 0.060
O 0.120 0.000 0.589
O 0.220 0.309 0.861
O 0.220 0.691 0.861
O 0.306 0.305 0.368
O 0.306 0.695 0.368
O 0.421 0.000 0.097
O 0.620 0.500 0.027
O 0.714 0.203 0.745
O 0.714 0.797 0.745
O 0.809 0.202 0.263
O 0.809 0.798 0.263
O 0.912 0.500 0.527

---

For CaTb2Mn3O9, a crystal structure in the Materials Project, relaxed with PBE+U gives the theoretical powder X-ray diffraction pattern in this record (copper Kα).
Peak positions follow from Bragg's law for the DFT cell and can differ from measured ones.

Peak list (10 most intense, 15 to 90 degrees two-theta, by angle)
15.72°, I = 182, hkl 2 1 0; 25.77°, I = 172, hkl 3 1 1; 31.89°, I = 204, hkl 6 0 0; 33.01°, I = 1000, hkl 3 2 1; 33.29°, I = 245, hkl 0 0 2; 46.76°, I = 242, hkl 6 0 2; 47.98°, I = 172, hkl 0 4 0; 48.40°, I = 170, hkl 6 3 0; 53.22°, I = 154, hkl 9 1 1; 59.31°, I = 227, hkl 3 2 3

Cell and atoms:
Cell lengths 16.838, 7.586, 5.382 Å; angles 90.00, 90.00, 90.00 degrees
Atoms (fractional coordinates):
Ca 0.148 0.250 0.013
Ca 0.352 0.750 0.513
Ca 0.648 0.250 0.487
Ca 0.852 0.750 0.987
Tb 0.021 0.750 0.515
Tb 0.188 0.750 0.983
Tb 0.312 0.250 0.483
Tb 0.479 0.250 0.015
Tb 0.521 0.750 0.985
Tb 0.688 0.750 0.517
Tb 0.812 0.250 0.017
Tb 0.979 0.250 0.485
Mn 0.000 0.000 0.000
Mn 0.000 0.500 0.000
Mn 0.167 0.001 0.499
Mn 0.167 0.499 0.499
Mn 0.333 0.501 0.999
Mn 0.333 0.999 0.999
Mn 0.500 0.000 0.500
Mn 0.500 0.500 0.500
Mn 0.667 0.001 0.001
Mn 0.667 0.499 0.001
Mn 0.833 0.501 0.501
Mn 0.833 0.999 0.501
O 0.009 0.250 0.900
O 0.064 0.046 0.303
O 0.064 0.454 0.303
O 0.099 0.557 0.792
O 0.099 0.943 0.792
O 0.155 0.750 0.396
O 0.178 0.250 0.591
O 0.236 0.048 0.209
O 0.236 0.452 0.209
O 0.264 0.548 0.709
O 0.264 0.952 0.709
O 0.322 0.750 0.091
O 0.345 0.250 0.896
O 0.401 0.057 0.292
O 0.401 0.443 0.292
O 0.436 0.546 0.803
O 0.436 0.954 0.803
O 0.491 0.750 0.400
O 0.509 0.250 0.600
O 0.564 0.046 0.197
O 0.564 0.454 0.197
O 0.599 0.557 0.708
O 0.599 0.943 0.708
O 0.655 0.750 0.104
O 0.678 0.250 0.909
O 0.736 0.048 0.291
O 0.736 0.452 0.291
O 0.764 0.548 0.791
O 0.764 0.952 0.791
O 0.822 0.750 0.409
O 0.845 0.250 0.604
O 0.901 0.057 0.208
O 0.901 0.443 0.208
O 0.936 0.546 0.697
O 0.936 0.954 0.697
O 0.991 0.750 0.100

---

For Ca3TbMn4O12, a crystal structure in the Materials Project, relaxed with PBE+U gives the theoretical powder X-ray diffraction pattern in this record (copper Kα).
Peak positions follow from Bragg's law for the DFT cell and can differ from measured ones.

Peak list (10 most intense, 15 to 90 degrees two-theta, by angle)
20.05°, I = 127, hkl 0 1 1; 26.11°, I = 200, hkl 1 1 -1; 32.85°, I = 240, hkl 0 0 2; 33.27°, I = 1000, hkl 1 2 1; 33.49°, I = 249, hkl 2 0 0; 47.61°, I = 311, hkl 2 0 2; 47.92°, I = 185, hkl 0 4 0; 58.92°, I = 137, hkl 1 2 3; 59.73°, I = 350, hkl 3 2 1; 69.86°, I = 149, hkl 2 4 2

Cell and atoms:
Cell lengths 5.352, 7.593, 5.453 Å; angles 90.00, 90.11, 90.00 degrees
Atoms (fractional coordinates):
Ca 0.000 0.000 0.000
Ca 0.017 0.500 0.092
Ca 0.517 0.000 0.501
Tb 0.497 0.500 0.601
Mn 0.007 0.249 0.544
Mn 0.007 0.751 0.544
Mn 0.510 0.249 0.048
Mn 0.510 0.751 0.048
O 0.086 0.000 0.569
O 0.221 0.298 0.831
O 0.221 0.702 0.831
O 0.307 0.295 0.342
O 0.307 0.705 0.342
O 0.429 0.000 0.066
O 0.587 0.500 0.022
O 0.708 0.217 0.746
O 0.708 0.783 0.746
O 0.807 0.211 0.248
O 0.807 0.789 0.248
O 0.922 0.500 0.526

---

For Ca8Ti3Mn5O24, a crystal structure in the Materials Project, relaxed with PBE+U gives the theoretical powder X-ray diffraction pattern in this record (copper Kα).
Peak positions follow from Bragg's law for the DFT cell and can differ from measured ones.

Peak list (10 most intense, 15 to 90 degrees two-theta, by angle)
23.17°, I = 166, hkl 0 0 2; 33.00°, I = 1000, hkl 2 2 0; 40.71°, I = 82, hkl 2 2 2; 47.36°, I = 545, hkl 4 0 0; 53.36°, I = 51, hkl 2 0 4; 58.93°, I = 344, hkl 4 2 2; 69.22°, I = 284, hkl 4 4 0; 78.80°, I = 94, hkl 6 2 0; 78.93°, I = 45, hkl 2 0 6; 88.15°, I = 90, hkl 4 4 4

Cell and atoms:
Cell lengths 7.682, 7.682, 7.670 Å; angles 90.00, 90.00, 90.00 degrees
Atoms (fractional coordinates):
Ca 0.248 0.248 0.243
Ca 0.248 0.248 0.757
Ca 0.248 0.752 0.243
Ca 0.248 0.752 0.757
Ca 0.752 0.248 0.243
Ca 0.752 0.248 0.757
Ca 0.752 0.752 0.243
Ca 0.752 0.752 0.757
Ti 0.000 0.500 0.500
Ti 0.500 0.000 0.500
Ti 0.500 0.500 0.500
Mn 0.000 0.000 0.000
Mn 0.000 0.000 0.500
Mn 0.000 0.500 0.000
Mn 0.500 0.000 0.000
Mn 0.500 0.500 0.000
O 0.000 0.000 0.249
O 0.000 0.000 0.751
O 0.000 0.247 0.500
O 0.000 0.250 0.000
O 0.000 0.500 0.247
O 0.000 0.500 0.753
O 0.000 0.750 0.000
O 0.000 0.753 0.500
O 0.247 0.000 0.500
O 0.249 0.500 0.500
O 0.250 0.000 0.000
O 0.250 0.500 0.000
O 0.500 0.000 0.247
O 0.500 0.000 0.753
O 0.500 0.249 0.500
O 0.500 0.250 0.000
O 0.500 0.500 0.246
O 0.500 0.500 0.754
O 0.500 0.750 0.000
O 0.500 0.751 0.500
O 0.750 0.000 0.000
O 0.750 0.500 0.000
O 0.751 0.500 0.500
O 0.753 0.000 0.500

---

What is the formula in the fourth record? Ca3TbMn4O12

---

Repeat the fifth record exactly.
For Ca8Ti3Mn5O24, a crystal structure in the Materials Project, relaxed with PBE+U gives the theoretical powder X-ray diffraction pattern in this record (copper Kα).
Peak positions follow from Bragg's law for the DFT cell and can differ from measured ones.

Peak list (10 most intense, 15 to 90 degrees two-theta, by angle)
23.17°, I = 166, hkl 0 0 2; 33.00°, I = 1000, hkl 2 2 0; 40.71°, I = 82, hkl 2 2 2; 47.36°, I = 545, hkl 4 0 0; 53.36°, I = 51, hkl 2 0 4; 58.93°, I = 344, hkl 4 2 2; 69.22°, I = 284, hkl 4 4 0; 78.80°, I = 94, hkl 6 2 0; 78.93°, I = 45, hkl 2 0 6; 88.15°, I = 90, hkl 4 4 4

Cell and atoms:
Cell lengths 7.682, 7.682, 7.670 Å; angles 90.00, 90.00, 90.00 degrees
Atoms (fractional coordinates):
Ca 0.248 0.248 0.243
Ca 0.248 0.248 0.757
Ca 0.248 0.752 0.243
Ca 0.248 0.752 0.757
Ca 0.752 0.248 0.243
Ca 0.752 0.248 0.757
Ca 0.752 0.752 0.243
Ca 0.752 0.752 0.757
Ti 0.000 0.500 0.500
Ti 0.500 0.000 0.500
Ti 0.500 0.500 0.500
Mn 0.000 0.000 0.000
Mn 0.000 0.000 0.500
Mn 0.000 0.500 0.000
Mn 0.500 0.000 0.000
Mn 0.500 0.500 0.000
O 0.000 0.000 0.249
O 0.000 0.000 0.751
O 0.000 0.247 0.500
O 0.000 0.250 0.000
O 0.000 0.500 0.247
O 0.000 0.500 0.753
O 0.000 0.750 0.000
O 0.000 0.753 0.500
O 0.247 0.000 0.500
O 0.249 0.500 0.500
O 0.250 0.000 0.000
O 0.250 0.500 0.000
O 0.500 0.000 0.247
O 0.500 0.000 0.753
O 0.500 0.249 0.500
O 0.500 0.250 0.000
O 0.500 0.500 0.246
O 0.500 0.500 0.754
O 0.500 0.750 0.000
O 0.500 0.751 0.500
O 0.750 0.000 0.000
O 0.750 0.500 0.000
O 0.751 0.500 0.500
O 0.753 0.000 0.500